Calculated PXRD pattern
Compound: La2Nb3O10
Radiation: Cu Kα, 1.54184 Å
Structure: a structure optimized by DFT (PBE)
Neutral-atom scattering factors, no anomalous dispersion.

Principal peaks in the range 10 to 90 degrees two-theta, by intensity:
- 2θ 27.86, intensity 100
- 2θ 52.50, intensity 13
- 2θ 53.77, intensity 12
- 2θ 43.21, intensity 10
- 2θ 54.96, intensity 10
- 2θ 41.75, intensity 9

Cell and atoms:
a b c (Å): 10.0303 10.0303 7.8308
angles (deg): 112.95 112.95 34.07
Positions (direct):
La  0.0926  0.0926  0.2239
La  0.1857  0.1857  0.8346
La  0.8143  0.8143  0.1654
La  0.9074  0.9074  0.7761
Nb  0.2463  0.7537  0.5000
Nb  0.3124  0.3124  0.4597
Nb  0.4157  0.4157  0.0102
Nb  0.5843  0.5843  0.9898
Nb  0.6876  0.6876  0.5403
Nb  0.7537  0.2463  0.5000
O  0.0000  0.5000  0.5000
O  0.0227  0.0227  0.7058
O  0.0957  0.6082  0.9886
O  0.1245  0.6563  0.4651
O  0.2610  0.7390  0.0000
O  0.2780  0.2780  0.1990
O  0.3437  0.8755  0.5349
O  0.3816  0.3816  0.7383
O  0.3918  0.9043  0.0114
O  0.4722  0.4722  0.2944
O  0.5000  0.0000  0.5000
O  0.5278  0.5278  0.7056
O  0.6082  0.0957  0.9886
O  0.6184  0.6184  0.2617
O  0.6563  0.1245  0.4651
O  0.7220  0.7220  0.8010
O  0.7390  0.2610  0.0000
O  0.8755  0.3437  0.5349
O  0.9043  0.3918  0.0114
O  0.9773  0.9773  0.2942


Calculated PXRD pattern
Compound: La4CuSn8
Radiation: Cu Kα, 1.54184 Å
Structure: a structure optimized by DFT (PBE)
Neutral-atom scattering factors, no anomalous dispersion.

Principal peaks in the range 10 to 90 degrees two-theta, by intensity:
- 2θ 31.61, intensity 100
- 2θ 39.07, intensity 19
- 2θ 40.09, intensity 18
- 2θ 30.11, intensity 15
- 2θ 66.16, intensity 14
- 2θ 54.39, intensity 14

Cell and atoms:
a b c (Å): 4.4980 4.6107 17.8100
angles (deg): 90.00 90.00 90.00
Positions (direct):
La  0.0000  0.0000  0.0000
La  0.0000  0.5000  0.4906
La  0.5000  0.0000  0.7910
La  0.5000  0.5000  0.2890
Cu  0.0000  0.5000  0.7114
Sn  0.0000  0.0000  0.3297
Sn  0.0000  0.0000  0.6327
Sn  0.0000  0.5000  0.1416
Sn  0.0000  0.5000  0.8552
Sn  0.5000  0.0000  0.1479
Sn  0.5000  0.0000  0.4409
Sn  0.5000  0.5000  0.6316
Sn  0.5000  0.5000  0.9628


Calculated PXRD pattern
Compound: NdHo4Th2
Radiation: Cu Kα, 1.54184 Å
Structure: a structure optimized by DFT (PBE)
Neutral-atom scattering factors, no anomalous dispersion.

Principal peaks in the range 10 to 90 degrees two-theta, by intensity:
- 2θ 31.28, intensity 100
- 2θ 31.12, intensity 51
- 2θ 31.90, intensity 49
- 2θ 33.17, intensity 48
- 2θ 30.01, intensity 30
- 2θ 62.09, intensity 23

Cell and atoms:
a b c (Å): 3.5059 8.7650 8.8100
angles (deg): 119.43 90.05 101.49
Positions (direct):
Nd  0.0000  0.0000  0.0000
Ho  0.2943  0.5870  0.7052
Ho  0.3518  0.7049  0.1542
Ho  0.6482  0.2951  0.8458
Ho  0.7057  0.4130  0.2948
Th  0.0679  0.1377  0.4358
Th  0.9321  0.8623  0.5642


Calculated PXRD pattern
Compound: Y2Zr8O19
Radiation: Cu Kα, 1.54184 Å
Structure: a structure optimized by DFT (PBE)
Neutral-atom scattering factors, no anomalous dispersion.

Principal peaks in the range 10 to 90 degrees two-theta, by intensity:
- 2θ 29.70, intensity 100
- 2θ 49.34, intensity 36
- 2θ 59.02, intensity 27
- 2θ 49.75, intensity 20
- 2θ 34.61, intensity 15
- 2θ 58.27, intensity 12

Cell and atoms:
a b c (Å): 3.6651 3.6651 26.3336
angles (deg): 90.00 90.00 90.00
Positions (direct):
Y  0.0000  0.5000  0.0580
Y  0.5000  0.0000  0.9420
Zr  0.0000  0.5000  0.2543
Zr  0.0000  0.5000  0.4512
Zr  0.0000  0.5000  0.6469
Zr  0.0000  0.5000  0.8449
Zr  0.5000  0.0000  0.1551
Zr  0.5000  0.0000  0.3531
Zr  0.5000  0.0000  0.5488
Zr  0.5000  0.0000  0.7457
O  0.0000  0.0000  0.0000
O  0.0000  0.0000  0.1142
O  0.0000  0.0000  0.2131
O  0.0000  0.0000  0.3104
O  0.0000  0.0000  0.4059
O  0.0000  0.0000  0.5000
O  0.0000  0.0000  0.5941
O  0.0000  0.0000  0.6896
O  0.0000  0.0000  0.7869
O  0.0000  0.0000  0.8858
O  0.5000  0.5000  0.0970
O  0.5000  0.5000  0.1962
O  0.5000  0.5000  0.2966
O  0.5000  0.5000  0.3979
O  0.5000  0.5000  0.5000
O  0.5000  0.5000  0.6021
O  0.5000  0.5000  0.7034
O  0.5000  0.5000  0.8038
O  0.5000  0.5000  0.9030


Calculated PXRD pattern
Compound: KCaBeSe2
Radiation: Cu Kα, 1.54184 Å
Structure: a structure optimized by DFT (PBE)
Neutral-atom scattering factors, no anomalous dispersion.

Principal peaks in the range 10 to 90 degrees two-theta, by intensity:
- 2θ 25.73, intensity 100
- 2θ 23.77, intensity 38
- 2θ 37.61, intensity 36
- 2θ 28.96, intensity 35
- 2θ 35.16, intensity 29
- 2θ 40.59, intensity 20

Cell and atoms:
a b c (Å): 7.6106 4.7130 8.4725
angles (deg): 90.00 100.82 90.00
Positions (direct):
K  0.0000  0.2083  0.2500
K  0.0000  0.7917  0.7500
Ca  0.5000  0.4869  0.7500
Ca  0.5000  0.5131  0.2500
Be  0.5000  0.0000  0.0000
Be  0.5000  0.0000  0.5000
Se  0.2735  0.2646  0.9658
Se  0.2735  0.7354  0.4658
Se  0.7265  0.2646  0.5342
Se  0.7265  0.7354  0.0342


Calculated PXRD pattern
Compound: Er3Hf3TaN8
Radiation: Cu Kα, 1.54184 Å
Structure: a structure optimized by DFT (PBE)
Neutral-atom scattering factors, no anomalous dispersion.

Principal peaks in the range 10 to 90 degrees two-theta, by intensity:
- 2θ 33.83, intensity 100
- 2θ 38.96, intensity 97
- 2θ 32.78, intensity 37
- 2θ 55.58, intensity 33
- 2θ 56.97, intensity 32
- 2θ 67.31, intensity 30

Cell and atoms:
a b c (Å): 6.6174 6.6174 6.6174
angles (deg): 58.49 58.49 58.49
Positions (direct):
Er  0.0000  0.5000  0.5000
Er  0.5000  0.0000  0.5000
Er  0.5000  0.5000  0.0000
Hf  0.0000  0.0000  0.5000
Hf  0.0000  0.5000  0.0000
Hf  0.5000  0.0000  0.0000
Ta  0.5000  0.5000  0.5000
N  0.2436  0.2436  0.2436
N  0.2539  0.7313  0.7313
N  0.2687  0.2687  0.7461
N  0.2687  0.7461  0.2687
N  0.7313  0.2539  0.7313
N  0.7313  0.7313  0.2539
N  0.7461  0.2687  0.2687
N  0.7564  0.7564  0.7564


Calculated PXRD pattern
Compound: Tb2Sm2In5
Radiation: Cu Kα, 1.54184 Å
Structure: a structure optimized by DFT (PBE)
Neutral-atom scattering factors, no anomalous dispersion.

Principal peaks in the range 10 to 90 degrees two-theta, by intensity:
- 2θ 33.24, intensity 100
- 2θ 32.48, intensity 91
- 2θ 30.90, intensity 90
- 2θ 36.57, intensity 78
- 2θ 34.75, intensity 73
- 2θ 30.02, intensity 67

Cell and atoms:
a b c (Å): 6.6094 8.7476 10.2673
angles (deg): 112.90 90.06 112.19
Positions (direct):
Tb  0.0000  0.0000  0.0000
Tb  0.2421  0.4880  0.1377
Tb  0.4971  0.0001  0.5000
Tb  0.7417  0.4880  0.6377
Sm  0.1607  0.3248  0.6326
Sm  0.4057  0.8127  0.7681
Sm  0.6603  0.3248  0.1326
Sm  0.9027  0.8128  0.2681
In  0.0360  0.6086  0.9321
In  0.0690  0.6084  0.4325
In  0.3329  0.2026  0.3371
In  0.3651  0.2023  0.8375
In  0.4496  0.9031  0.1375
In  0.5347  0.6086  0.4328
In  0.5702  0.6083  0.9332
In  0.8345  0.2029  0.8381
In  0.8638  0.2027  0.3384
In  0.9495  0.9032  0.6375


Calculated PXRD pattern
Compound: Ac4Tl2CdAu
Radiation: Cu Kα, 1.54184 Å
Structure: a structure optimized by DFT (PBE)
Neutral-atom scattering factors, no anomalous dispersion.

Principal peaks in the range 10 to 90 degrees two-theta, by intensity:
- 2θ 31.13, intensity 100
- 2θ 55.36, intensity 30
- 2θ 44.60, intensity 18
- 2θ 73.73, intensity 15
- 2θ 55.48, intensity 8
- 2θ 64.84, intensity 7

Cell and atoms:
a b c (Å): 9.9380 9.9380 9.9380
angles (deg): 33.64 33.64 33.64
Positions (direct):
Ac  0.1194  0.1194  0.1194
Ac  0.3694  0.3694  0.3694
Ac  0.6306  0.6306  0.6306
Ac  0.8806  0.8806  0.8806
Tl  0.2444  0.2444  0.2444
Tl  0.7556  0.7556  0.7556
Cd  0.5000  0.5000  0.5000
Au  0.0000  0.0000  0.0000


Calculated PXRD pattern
Compound: Tb3Pr7Sm2
Radiation: Cu Kα, 1.54184 Å
Structure: a structure optimized by DFT (PBE)
Neutral-atom scattering factors, no anomalous dispersion.

Principal peaks in the range 10 to 90 degrees two-theta, by intensity:
- 2θ 30.55, intensity 100
- 2θ 30.24, intensity 97
- 2θ 34.08, intensity 88
- 2θ 29.92, intensity 83
- 2θ 32.66, intensity 69
- 2θ 29.01, intensity 60

Cell and atoms:
a b c (Å): 6.5573 3.6016 17.8252
angles (deg): 90.00 95.77 90.00
Positions (direct):
Tb  0.0000  0.0000  0.0000
Tb  0.0442  0.5000  0.6598
Tb  0.9558  0.5000  0.3402
Pr  0.2220  0.5000  0.1663
Pr  0.2427  0.0000  0.5058
Pr  0.2746  0.0000  0.8288
Pr  0.5000  0.5000  0.0000
Pr  0.7254  0.0000  0.1712
Pr  0.7573  0.0000  0.4942
Pr  0.7780  0.5000  0.8337
Sm  0.4411  0.0000  0.3302
Sm  0.5589  0.0000  0.6698


Calculated PXRD pattern
Compound: CaTbSm2Se4
Radiation: Cu Kα, 1.54184 Å
Structure: a structure optimized by DFT (PBE)
Neutral-atom scattering factors, no anomalous dispersion.

Principal peaks in the range 10 to 90 degrees two-theta, by intensity:
- 2θ 30.42, intensity 100
- 2θ 43.48, intensity 25
- 2θ 43.67, intensity 25
- 2θ 54.30, intensity 13
- 2θ 43.26, intensity 13
- 2θ 43.83, intensity 12

Cell and atoms:
a b c (Å): 7.1893 4.1314 7.2285
angles (deg): 90.00 109.07 90.00
Positions (direct):
Ca  0.0000  0.0000  0.0000
Tb  0.5000  0.5000  0.0000
Sm  0.0000  0.5000  0.5000
Sm  0.5000  0.0000  0.5000
Se  0.2492  0.5000  0.2444
Se  0.2523  0.0000  0.7570
Se  0.7477  0.0000  0.2430
Se  0.7508  0.5000  0.7556


Calculated PXRD pattern
Compound: Nd3MnP2Rh9
Radiation: Cu Kα, 1.54184 Å
Structure: a structure optimized by DFT (PBE)
Neutral-atom scattering factors, no anomalous dispersion.

Principal peaks in the range 10 to 90 degrees two-theta, by intensity:
- 2θ 35.60, intensity 100
- 2θ 40.01, intensity 95
- 2θ 30.84, intensity 36
- 2θ 60.89, intensity 29
- 2θ 54.73, intensity 24
- 2θ 69.81, intensity 19

Cell and atoms:
a b c (Å): 6.0854 6.0854 8.6987
angles (deg): 90.00 90.00 120.00
Positions (direct):
Nd  0.0000  0.0000  0.0000
Nd  0.3333  0.6667  0.6414
Nd  0.6667  0.3333  0.3586
Mn  0.0000  0.0000  0.5000
P  0.3333  0.6667  0.1642
P  0.6667  0.3333  0.8358
Rh  0.0000  0.5000  0.0000
Rh  0.1543  0.3086  0.2926
Rh  0.1543  0.8457  0.2926
Rh  0.3086  0.1543  0.7074
Rh  0.5000  0.0000  0.0000
Rh  0.5000  0.5000  0.0000
Rh  0.6914  0.8457  0.2926
Rh  0.8457  0.1543  0.7074
Rh  0.8457  0.6914  0.7074


Calculated PXRD pattern
Compound: In12HgPb16
Radiation: Cu Kα, 1.54184 Å
Structure: a structure optimized by DFT (PBE)
Neutral-atom scattering factors, no anomalous dispersion.

Principal peaks in the range 10 to 90 degrees two-theta, by intensity:
- 2θ 31.90, intensity 100
- 2θ 31.41, intensity 90
- 2θ 32.06, intensity 47
- 2θ 31.54, intensity 39
- 2θ 31.19, intensity 35
- 2θ 29.64, intensity 30

Cell and atoms:
a b c (Å): 10.4922 10.4922 10.1551
angles (deg): 108.52 108.52 111.07
Positions (direct):
In  0.0000  0.0000  0.0000
In  0.1755  0.1755  0.3746
In  0.1799  0.9957  0.5736
In  0.4351  0.8094  0.0079
In  0.4428  0.6242  0.2030
In  0.6169  0.8038  0.8200
In  0.6242  0.4428  0.2030
In  0.6272  0.9986  0.3831
In  0.8038  0.6169  0.8200
In  0.8094  0.4351  0.0079
In  0.9957  0.1799  0.5736
In  0.9986  0.6272  0.3831
Hg  0.2157  0.2157  0.9143
Pb  0.0971  0.5008  0.8907
Pb  0.1182  0.8022  0.7875
Pb  0.1197  0.3982  0.1932
Pb  0.1381  0.8109  0.1933
Pb  0.2175  0.5254  0.6003
Pb  0.3970  0.8122  0.5072
Pb  0.3982  0.1197  0.1932
Pb  0.4619  0.4619  0.8626
Pb  0.4959  0.4959  0.4747
Pb  0.5008  0.0971  0.8907
Pb  0.5254  0.2175  0.6003
Pb  0.8022  0.1182  0.7875
Pb  0.8021  0.8021  0.1813
Pb  0.8109  0.1381  0.1933
Pb  0.8122  0.3970  0.5072
Pb  0.8151  0.8151  0.5330